1.
Diffraction record for Mg2MoCl. The powder X-ray diffraction pattern is computed, not measured: it uses a structure optimized by DFT (GGA-PBE) and Cu Kα (weighted mean of Kα1 and Kα2).
Intensities are scaled so that the largest is 100.

Atomic structure:
```
data_Mg2MoCl
_chemical_formula_sum 'Mg4 Mo2 Cl2'
_space_group_name_H-M_alt 'C m m m'
_space_group_IT_number 65
_space_group_name_Hall '-C 2 2'
_cell_length_a 3.7058
_cell_length_b 4.7408
_cell_length_c 8.3240
_cell_angle_alpha 90.00
_cell_angle_beta 90.00
_cell_angle_gamma 90.00
loop_
_atom_site_label
_atom_site_type_symbol
_atom_site_fract_x
_atom_site_fract_y
_atom_site_fract_z
_atom_site_occupancy
Mg1 Mg 0.0000 0.0000 0.2494 1
Mo1 Mo 0.0000 0.5000 0.0000 1
Cl1 Cl 0.0000 0.5000 0.5000 1
```

Peak list (10 most intense, 10 to 80 degrees two-theta, by angle)
2θ/deg  I_rel
10.6  54
21.3  23
30.6  18
32.5  17
37.6  100
38.0  24
43.5  16
59.1  12
68.4  16
75.9  12

=====

2.
Diffraction record for Ta4MnCo. The powder X-ray diffraction pattern is computed, not measured: it uses a structure optimized by DFT (GGA-PBE) and Cu Kα (weighted mean of Kα1 and Kα2).
Intensities are scaled so that the largest is 100.

Atomic structure:
```
data_Ta4MnCo
_chemical_formula_sum 'Ta8 Mn2 Co2'
_space_group_name_H-M_alt 'I 4 2 2'
_space_group_IT_number 97
_space_group_name_Hall 'I 4 2'
_cell_length_a 6.1091
_cell_length_b 6.1091
_cell_length_c 5.0984
_cell_angle_alpha 90.00
_cell_angle_beta 90.00
_cell_angle_gamma 90.00
loop_
_atom_site_label
_atom_site_type_symbol
_atom_site_fract_x
_atom_site_fract_y
_atom_site_fract_z
_atom_site_occupancy
Ta1 Ta 0.1636 0.3364 0.2500 1
Mn1 Mn 0.0000 0.0000 0.0000 1
Co1 Co 0.0000 0.0000 0.5000 1
```

Peak list (10 most intense, 10 to 80 degrees two-theta, by angle)
2θ/deg  I_rel
29.2  7
35.2  18
37.3  100
41.1  12
46.4  19
47.0  21
64.6  20
65.6  17
72.1  7
75.9  15

=====

3.
Diffraction record for SrH2Cl2O. The powder X-ray diffraction pattern is computed, not measured: it uses a structure optimized by DFT (GGA-PBE) and Cu Kα (weighted mean of Kα1 and Kα2).
Intensities are scaled so that the largest is 100.

Atomic structure:
```
data_SrH2Cl2O
_chemical_formula_sum 'Sr4 H8 Cl8 O4'
_space_group_name_H-M_alt 'P n m a'
_space_group_IT_number 62
_space_group_name_Hall '-P 2ac 2n'
_cell_length_a 10.8098
_cell_length_b 4.1910
_cell_length_c 9.1442
_cell_angle_alpha 90.00
_cell_angle_beta 90.00
_cell_angle_gamma 90.00
loop_
_atom_site_label
_atom_site_type_symbol
_atom_site_fract_x
_atom_site_fract_y
_atom_site_fract_z
_atom_site_occupancy
Sr1 Sr 0.1873 0.2500 0.0958 1
H1 H 0.0812 0.2500 0.6487 1
H2 H 0.1253 0.2500 0.4869 1
Cl1 Cl 0.1018 0.7500 0.8851 1
Cl2 Cl 0.1214 0.7500 0.3206 1
O1 O 0.1569 0.2500 0.5875 1
```

Peak list (10 most intense, 10 to 80 degrees two-theta, by angle)
2θ/deg  I_rel
12.7  37
16.4  41
21.1  32
24.8  44
30.1  100
31.6  36
36.4  41
38.4  90
39.7  41
43.2  34

=====

> Which formula does entry 3 have?

SrH2Cl2O